Record 1
Calculated XRD peak list of Ba5Si2Ge for λ = 1.5418 Å (Cu Kα), from a crystal structure in Alexandria, relaxed with PBE.

Structural model:
Cell: 8.521 8.521 16.814 Å, 90.00 90.00 90.00°
Space group I4/mcm (No. 140)
Inequivalent atoms, fractional coordinates:
Ba 0.000 0.000 0.000 (multiplicity 4)
Ba 0.182 0.318 0.142 (multiplicity 16)
Si 0.101 0.399 0.500 (multiplicity 8)
Ge 0.000 0.000 0.250 (multiplicity 4)

Principal peaks in the range 10 to 80 degrees two-theta, in order of rising 2θ:
(2 1 1), 2θ 23.94, rel. 45
(1 1 4), 2θ 25.84, rel. 31
(2 1 3), 2θ 28.32, rel. 100
(2 2 0), 2θ 29.65, rel. 34
(2 0 4), 2θ 29.86, rel. 100
(3 1 0), 2θ 33.25, rel. 48
(4 1 3), 2θ 46.84, rel. 39
(3 3 4), 2θ 50.35, rel. 32

***

Record 2
Calculated XRD peak list of Ce2YFe for λ = 1.5418 Å (Cu Kα), from a crystal structure in Alexandria, relaxed with PBE.

Structural model:
Cell: 6.848 9.433 6.135 Å, 90.00 90.00 90.00°
Space group Pnma (No. 62)
Inequivalent atoms, fractional coordinates:
Ce 0.151 0.069 0.140 (multiplicity 8)
Y 0.059 0.250 0.627 (multiplicity 4)
Fe 0.066 0.750 0.882 (multiplicity 4)

Principal peaks in the range 10 to 80 degrees two-theta, in order of rising 2θ:
(1 0 1), 2θ 19.43, rel. 23
(0 3 1), 2θ 31.98, rel. 100
(2 2 0), 2θ 32.31, rel. 24
(1 1 2), 2θ 33.39, rel. 71
(1 3 1), 2θ 34.63, rel. 48
(2 2 1), 2θ 35.55, rel. 59
(2 3 0), 2θ 38.89, rel. 31
(3 3 2), 2θ 58.31, rel. 32

***

Record 3
Calculated XRD peak list of Na2LiNdBr6 for λ = 1.5418 Å (Cu Kα), from a crystal structure in Alexandria, relaxed with PBE.

Structural model:
Cell: 7.3808 7.3808 19.8115 Å, 90.00 90.00 120.00°
Space group R3 (No. 146, hexagonal axes)
Inequivalent atoms, fractional coordinates:
Na 0.0000 0.0000 0.0000 (multiplicity 3)
Na 0.0000 0.0000 0.4967 (multiplicity 3)
Li 0.0000 0.0000 0.2931 (multiplicity 3)
Nd 0.0000 0.0000 0.8017 (multiplicity 3)
Br 0.0103 0.6402 0.5611 (multiplicity 9)
Br 0.0184 0.3764 0.0583 (multiplicity 9)

Principal peaks in the range 10 to 80 degrees two-theta, in order of rising 2θ:
(1 0 1), 2θ 14.56, rel. 21
(0 1 2), 2θ 16.51, rel. 28
(1 1 3), 2θ 27.69, rel. 100
(0 2 4), 2θ 33.37, rel. 14
(2 -1 6), 2θ 36.52, rel. 43
(3 0 0), 2θ 42.42, rel. 32
(2 -1 9), 2θ 48.12, rel. 24
(4 -2 3), 2θ 51.42, rel. 13

***

Record 4
Calculated XRD peak list of K2NdB2O6 for λ = 1.5418 Å (Cu Kα), from a crystal structure in Alexandria, relaxed with PBE.

Structural model:
Cell: 5.7124 5.7124 6.5483 Å, 90.00 90.00 120.00°
Space group P-3m1 (No. 164)
Inequivalent atoms, fractional coordinates:
K 0.3333 0.6667 0.3271 (multiplicity 2)
Nd 0.0000 0.0000 0.0000 (multiplicity 1)
B 0.3333 0.6667 0.7942 (multiplicity 2)
O 0.1943 0.3885 0.7896 (multiplicity 6)

Principal peaks in the range 10 to 80 degrees two-theta, in order of rising 2θ:
(0 0 1), 2θ 13.52, rel. 39
(1 0 0), 2θ 17.93, rel. 26
(0 1 1), 2θ 22.53, rel. 100
(1 1 0), 2θ 31.32, rel. 40
(1 0 2), 2θ 32.80, rel. 58
(2 0 1), 2θ 38.92, rel. 34
(0 2 2), 2θ 45.98, rel. 26
(1 2 1), 2θ 50.78, rel. 27

***

Record 5
Calculated XRD peak list of Bi3Sb2 for λ = 1.5418 Å (Cu Kα), from a crystal structure in Alexandria, relaxed with PBE.

Structural model:
Cell: 8.0007 8.0007 20.9109 Å, 90.00 90.00 120.00°
Space group R-3c (No. 167, hexagonal axes)
Inequivalent atoms, fractional coordinates:
Bi 0.0000 0.2483 0.2500 (multiplicity 18)
Sb 0.0000 0.0000 0.1332 (multiplicity 12)

Principal peaks in the range 10 to 80 degrees two-theta, in order of rising 2θ:
(0 1 2), 2θ 15.34, rel. 55
(0 0 6), 2θ 25.56, rel. 30
(1 1 3), 2θ 25.68, rel. 100
(0 2 4), 2θ 30.97, rel. 37
(2 1 1), 2θ 34.52, rel. 50
(2 1 4), 2θ 38.45, rel. 43
(1 2 5), 2θ 40.65, rel. 32
(1 1 9), 2θ 45.13, rel. 23

***

Record 6
Calculated XRD peak list of Pm3MgSi4 for λ = 1.5418 Å (Cu Kα), from a crystal structure in Alexandria, relaxed with PBE.

Structural model:
Cell: 4.294 6.005 15.446 Å, 90.00 90.00 90.00°
Space group Immm (No. 71)
Inequivalent atoms, fractional coordinates:
Pm 0.000 0.000 0.000 (multiplicity 2)
Pm 0.000 0.500 0.191 (multiplicity 4)
Mg 0.000 0.000 0.500 (multiplicity 2)
Si 0.000 0.308 0.373 (multiplicity 8)

Principal peaks in the range 10 to 80 degrees two-theta, in order of rising 2θ:
(0 1 3), 2θ 22.75, rel. 68
(1 1 2), 2θ 28.04, rel. 100
(0 2 0), 2θ 29.76, rel. 20
(1 0 5), 2θ 35.81, rel. 39
(1 2 1), 2θ 36.99, rel. 26
(1 2 5), 2θ 47.22, rel. 19
(2 1 3), 2θ 48.36, rel. 19
(1 1 8), 2θ 54.28, rel. 22

***

Record 7
Calculated XRD peak list of Ba8Au4Br for λ = 1.5418 Å (Cu Kα), from a crystal structure in Alexandria, relaxed with PBE.

Structural model:
Cell: 23.600 4.795 16.198 Å, 90.00 132.44 90.00°
Space group Cm (No. 8)
Inequivalent atoms, fractional coordinates:
Ba 0.000 0.000 0.000 (multiplicity 2)
Ba 0.016 0.000 0.734 (multiplicity 2)
Ba 0.117 0.500 0.617 (multiplicity 2)
Ba 0.198 0.500 0.051 (multiplicity 2)
Ba 0.302 0.000 0.935 (multiplicity 2)
Ba 0.319 0.000 0.675 (multiplicity 2)
Ba 0.362 0.000 0.396 (multiplicity 2)
Ba 0.456 0.500 0.269 (multiplicity 2)
Au 0.008 0.500 0.866 (multiplicity 2)
Au 0.309 0.500 0.802 (multiplicity 2)
Au 0.326 0.000 0.162 (multiplicity 2)
Au 0.489 0.500 0.505 (multiplicity 2)
Br 0.003 0.500 0.160 (multiplicity 2)

Principal peaks in the range 10 to 80 degrees two-theta, in order of rising 2θ:
(2 0 0), 2θ 10.16, rel. 96
(2 0 -2), 2θ 10.93, rel. 72
(3 1 0), 2θ 24.08, rel. 93
(3 1 -3), 2θ 24.84, rel. 95
(5 1 -1), 2θ 28.29, rel. 69
(5 1 -4), 2θ 29.38, rel. 56
(0 2 0), 2θ 37.52, rel. 61
(1 1 4), 2θ 38.70, rel. 100

***

Record 8
Calculated XRD peak list of Tm2Co5Ge3 for λ = 1.5418 Å (Cu Kα), from a crystal structure in Alexandria, relaxed with PBE.

Structural model:
Cell: 3.956 23.390 6.319 Å, 90.00 90.00 90.00°
Space group Cmc2_1 (No. 36)
Inequivalent atoms, fractional coordinates:
Tm 0.000 0.016 0.000 (multiplicity 4)
Tm 0.000 0.325 0.008 (multiplicity 4)
Co 0.000 0.105 0.339 (multiplicity 4)
Co 0.000 0.206 0.214 (multiplicity 4)
Co 0.000 0.211 0.821 (multiplicity 4)
Co 0.000 0.370 0.521 (multiplicity 4)
Co 0.000 0.442 0.167 (multiplicity 4)
Ge 0.000 0.113 0.752 (multiplicity 4)
Ge 0.000 0.269 0.515 (multiplicity 4)
Ge 0.000 0.448 0.788 (multiplicity 4)

Principal peaks in the range 10 to 80 degrees two-theta, in order of rising 2θ:
(0 6 2), 2θ 36.61, rel. 24
(1 7 1), 2θ 38.02, rel. 57
(1 3 2), 2θ 38.24, rel. 100
(0 10 1), 2θ 41.15, rel. 27
(1 9 0), 2θ 41.58, rel. 32
(0 4 3), 2θ 45.77, rel. 18
(2 0 0), 2θ 45.88, rel. 34
(1 13 3), 2θ 73.20, rel. 17